No. 1
This entry pairs a crystal structure of Li3Zn2Cu7 with its simulated powder diffractogram. Radiation: a wavelength of 1.5418 Å. Structure: the PBE geometry in Alexandria.
Lines closer than 0.1° are merged.

```
Li3Zn2Cu7
1.0
2.4631 1.4221 8.1921
-2.4631 1.4221 8.1921
0.0000 -2.8441 8.1921
Li Zn Cu
3 2 7
direct
0.0000 0.0000 0.0000
0.1446 0.1446 0.1446
0.8554 0.8554 0.8554
0.3329 0.3329 0.3329
0.6671 0.6671 0.6671
0.0830 0.5866 0.5866
0.4134 0.4134 0.9170
0.4134 0.9170 0.4134
0.5000 0.5000 0.5000
0.5866 0.0830 0.5866
0.5866 0.5866 0.0830
0.9170 0.4134 0.4134
```

Peak list (10 most intense, 2θ = 10–90°, low angle first)
d [Å]  Rel. int.
4.203  100
4.096  19
2.126  16
2.111  67
2.048  30
1.979  16
1.957  53
1.823  34
1.610  19
1.232  16



No. 2
This entry pairs a crystal structure of K3ReN4 with its simulated powder diffractogram. Radiation: a wavelength of 1.5418 Å. Structure: the PBE geometry in Alexandria.
Lines closer than 0.1° are merged.

```
K3ReN4
1.0
5.1940 -3.5911 0.0000
5.1940 3.5911 0.0000
-3.1173 0.0000 4.9058
K Re N
3 1 4
direct
0.0000 0.0000 0.0000
0.2885 0.2613 0.7827
0.7387 0.7115 0.2173
0.4928 0.5072 0.5000
0.1940 0.4521 0.3173
0.5479 0.8060 0.6827
0.7542 0.2111 0.3800
0.7889 0.2458 0.6200
```

Peak list (10 most intense, 2θ = 10–90°, low angle first)
d [Å]  Rel. int.
5.556  100
4.906  37
4.783  42
4.517  62
4.384  28
3.591  56
3.180  87
3.113  84
2.904  58
2.259  35